# TbPaB4
Computed XRD peak list, Cu Kα X-rays. Input: a crystal structure in Alexandria, relaxed with PBE.
Intensities are scaled so that the largest is 100.

```
TbPaB4
1.0
-1.8135 1.8135 5.7500
1.8135 -1.8135 5.7500
1.8135 1.8135 -5.7500
Tb Pa B
1 1 4
direct
0.0000 0.0000 0.0000
0.7500 0.2500 0.5000
0.1718 0.6718 0.5000
0.3282 0.8282 0.5000
0.4209 0.4209 0.0000
0.5791 0.5791 0.0000
```

Principal peaks in the range 10° ≤ 2θ ≤ 80°, most intense first:
25.8°, d 3.459, I 100
38.4°, d 2.342, I 89
34.0°, d 2.635, I 58
60.3°, d 1.535, I 41
31.1°, d 2.875, I 33
46.8°, d 1.942, I 27



# Pa3Tc2B4
Computed XRD peak list, Cu Kα X-rays. Input: a crystal structure in Alexandria, relaxed with PBE.
Intensities are scaled so that the largest is 100.

```
Pa3Tc2B4
1.0
-1.5945 4.0902 5.5420
1.5945 -4.0902 5.5420
1.5945 4.0902 -5.5420
Pa Tc B
3 2 4
direct
0.0000 0.0000 0.0000
0.3522 0.8522 0.5000
0.6478 0.1478 0.5000
0.2519 0.5000 0.7519
0.7481 0.5000 0.2481
0.0414 0.2770 0.7644
0.4874 0.7230 0.7644
0.5126 0.2770 0.2356
0.9586 0.7230 0.2356
```

Principal peaks in the range 10° ≤ 2θ ≤ 80°, most intense first:
36.6°, d 2.453, I 100
26.5°, d 3.367, I 98
44.7°, d 2.026, I 44
21.7°, d 4.090, I 35
41.1°, d 2.194, I 31
34.2°, d 2.619, I 30



# Pa2TcB
Computed XRD peak list, Cu Kα X-rays. Input: a crystal structure in Alexandria, relaxed with PBE.
Intensities are scaled so that the largest is 100.

```
Pa2TcB
1.0
4.3247 0.0000 0.0000
0.0000 4.3247 0.0000
0.0000 0.0000 3.8290
Pa Tc B
2 1 1
direct
0.0000 0.5000 0.0000
0.5000 0.0000 0.0000
0.0000 0.0000 0.5000
0.5000 0.5000 0.5000
```

Principal peaks in the range 10° ≤ 2θ ≤ 80°, most intense first:
37.6°, d 2.389, I 100
41.8°, d 2.162, I 38
29.2°, d 3.058, I 36
23.2°, d 3.829, I 31
73.5°, d 1.288, I 29
65.1°, d 1.433, I 21



# ThPaB12
Computed XRD peak list, Cu Kα X-rays. Input: a crystal structure in Alexandria, relaxed with PBE.
Intensities are scaled so that the largest is 100.

```
ThPaB12
1.0
4.0881 0.0000 0.0000
0.0000 4.0881 0.0000
0.0000 0.0000 8.1797
Th Pa B
1 1 12
direct
0.0000 0.0000 0.0000
0.0000 0.0000 0.5000
0.1970 0.5000 0.2519
0.1970 0.5000 0.7481
0.5000 0.1970 0.2519
0.5000 0.1970 0.7481
0.5000 0.5000 0.0993
0.5000 0.5000 0.4022
0.5000 0.5000 0.5978
0.5000 0.5000 0.9007
0.5000 0.8030 0.2519
0.5000 0.8030 0.7481
0.8030 0.5000 0.2519
0.8030 0.5000 0.7481
```

Principal peaks in the range 10° ≤ 2θ ≤ 80°, most intense first:
30.9°, d 2.891, I 100
21.7°, d 4.089, I 82
49.9°, d 1.829, I 53
38.1°, d 2.361, I 42
55.0°, d 1.669, I 33
68.9°, d 1.363, I 28



# U2PaB6
Computed XRD peak list, Cu Kα X-rays. Input: a crystal structure in Alexandria, relaxed with PBE.
Intensities are scaled so that the largest is 100.

```
U2PaB6
1.0
-1.6112 4.0809 4.2680
1.6112 -4.0809 4.2680
1.6112 4.0809 -4.2680
U Pa B
2 1 6
direct
0.1427 0.1427 0.0000
0.8573 0.8573 0.0000
0.5000 0.0000 0.5000
0.0552 0.3053 0.7499
0.2018 0.5000 0.7018
0.4446 0.6947 0.7499
0.5554 0.3053 0.2501
0.7982 0.5000 0.2982
0.9448 0.6947 0.2501
```

Principal peaks in the range 10° ≤ 2θ ≤ 80°, most intense first:
21.8°, d 4.081, I 100
37.1°, d 2.425, I 77
33.3°, d 2.687, I 71
29.6°, d 3.015, I 56
52.7°, d 1.738, I 42
46.2°, d 1.966, I 31



# PaVB4
Computed XRD peak list, Cu Kα X-rays. Input: a crystal structure in Alexandria, relaxed with PBE.
Intensities are scaled so that the largest is 100.

```
PaVB4
1.0
5.9500 0.0000 0.0000
0.0000 11.5042 0.0000
0.0000 0.0000 3.6060
Pa V B
4 4 16
direct
0.1243 0.1511 0.0000
0.3757 0.6511 0.0000
0.6243 0.3489 0.0000
0.8757 0.8489 0.0000
0.1267 0.4166 0.0000
0.3733 0.9166 0.0000
0.6267 0.0834 0.0000
0.8733 0.5834 0.0000
0.0269 0.6917 0.5000
0.1134 0.5461 0.5000
0.1362 0.9674 0.5000
0.2167 0.8148 0.5000
0.2833 0.3148 0.5000
0.3638 0.4674 0.5000
0.3866 0.0461 0.5000
0.4731 0.1917 0.5000
0.5269 0.8083 0.5000
0.6134 0.9539 0.5000
0.6362 0.5326 0.5000
0.7167 0.6852 0.5000
0.7833 0.1852 0.5000
0.8638 0.0326 0.5000
0.8866 0.4539 0.5000
0.9731 0.3083 0.5000
```

Principal peaks in the range 10° ≤ 2θ ≤ 80°, most intense first:
40.1°, d 2.250, I 100
31.1°, d 2.879, I 83
24.7°, d 3.606, I 72
37.4°, d 2.403, I 44
21.5°, d 4.136, I 44
27.7°, d 3.223, I 41



# YPaB12
Computed XRD peak list, Cu Kα X-rays. Input: a crystal structure in Alexandria, relaxed with PBE.
Intensities are scaled so that the largest is 100.

```
YPaB12
1.0
4.0827 0.0000 0.0000
0.0000 4.0827 0.0000
0.0000 0.0000 8.1809
Y Pa B
1 1 12
direct
0.0000 0.0000 0.0000
0.0000 0.0000 0.5000
0.1976 0.5000 0.2506
0.1976 0.5000 0.7494
0.5000 0.1976 0.2506
0.5000 0.1976 0.7494
0.5000 0.5000 0.0993
0.5000 0.5000 0.4016
0.5000 0.5000 0.5984
0.5000 0.5000 0.9007
0.5000 0.8024 0.2506
0.5000 0.8024 0.7494
0.8024 0.5000 0.2506
0.8024 0.5000 0.7494
```

Principal peaks in the range 10° ≤ 2θ ≤ 80°, most intense first:
31.0°, d 2.889, I 100
21.8°, d 4.085, I 70
49.9°, d 1.827, I 51
38.2°, d 2.359, I 42
10.8°, d 8.181, I 29
55.1°, d 1.668, I 29



# Pr2BPd6Pb
Computed XRD peak list, Cu Kα X-rays. Input: a crystal structure in Alexandria, relaxed with PBE.
Intensities are scaled so that the largest is 100.

```
Pr2BPd6Pb
1.0
5.8996 0.0000 0.0000
0.0000 8.8296 0.0000
0.0000 0.0000 7.6576
Pr B Pd Pb
4 2 12 2
direct
0.2500 0.0275 0.2264
0.2500 0.4725 0.2264
0.7500 0.5275 0.7736
0.7500 0.9725 0.7736
0.2500 0.2500 0.6675
0.7500 0.7500 0.3325
0.0143 0.2500 0.8714
0.0141 0.7500 0.5131
0.2500 0.0122 0.6395
0.2500 0.4878 0.6395
0.4857 0.2500 0.8714
0.4859 0.7500 0.5131
0.5141 0.2500 0.4869
0.5143 0.7500 0.1286
0.7500 0.5122 0.3605
0.7500 0.9878 0.3605
0.9859 0.2500 0.4869
0.9857 0.7500 0.1286
0.2500 0.7500 0.8396
0.7500 0.2500 0.1604
```

Principal peaks in the range 10° ≤ 2θ ≤ 80°, most intense first:
40.9°, d 2.208, I 100
34.5°, d 2.597, I 75
36.6°, d 2.453, I 68
38.5°, d 2.336, I 64
34.1°, d 2.630, I 63
39.9°, d 2.260, I 58